Record 1
This entry pairs a crystal structure of Sr2UBeSe5 with its computed powder X-ray diffraction pattern. Radiation: Cu Kα X-rays. Structure: a DFT-relaxed cell (GGA-PBE, Alexandria).

Top 12 peaks for 10 to 80 degrees two-theta, sorted by position:
two_theta	d (Å)	I_rel
11.9	7.421	9
16.8	5.266	16
20.8	4.275	13
23.2	3.826	11
30.4	2.937	100
35.8	2.505	34
41.9	2.158	16
43.5	2.081	9
44.1	2.053	14
50.3	1.814	12
54.5	1.683	10
72.7	1.301	9

Cell and atoms:
```
data_Sr2UBeSe5
_space_group_name_H-M_alt 'P 1'
_space_group_IT_number 1
_cell_length_a 9.2873
_cell_length_b 9.2873
_cell_length_c 12.9431
_cell_angle_alpha 90.00
_cell_angle_beta 90.00
_cell_angle_gamma 154.45
loop_
_space_group_symop_operation_xyz
'x,y,z'
loop_
_atom_site_label
_atom_site_fract_x
_atom_site_fract_y
_atom_site_fract_z
Sr1 0.1136 0.8864 0.5000
Sr2 0.1156 0.8844 0.8528
Sr3 0.8844 0.1156 0.3528
Sr4 0.8864 0.1136 0.0000
U1 0.1955 0.8045 0.1883
U2 0.8045 0.1955 0.6883
Be1 0.4363 0.5637 0.5831
Be2 0.5637 0.4363 0.0831
Se1 0.0420 0.9580 0.1749
Se2 0.3012 0.6988 0.8394
Se3 0.3126 0.6874 0.5340
Se4 0.3493 0.6507 0.1769
Se5 0.4965 0.5035 0.4367
Se6 0.5035 0.4965 0.9367
Se7 0.6507 0.3493 0.6769
Se8 0.6874 0.3126 0.0340
Se9 0.6988 0.3012 0.3394
Se10 0.9580 0.0420 0.6749
```

=====

Record 2
This entry pairs a crystal structure of Pr13Tm2 with its computed powder X-ray diffraction pattern. Radiation: Cu Kα X-rays. Structure: a DFT-relaxed cell (GGA-PBE, Alexandria).

Top 12 peaks for 10 to 80 degrees two-theta, sorted by position:
two_theta	d (Å)	I_rel
28.5	3.136	79
28.8	3.099	18
30.1	2.967	100
31.1	2.879	86
33.5	2.677	69
34.9	2.570	28
40.0	2.257	23
45.9	1.978	14
50.2	1.818	52
57.2	1.610	23
59.7	1.550	61
60.2	1.537	14

Cell and atoms:
```
data_Pr13Tm2
_space_group_name_H-M_alt 'P 1'
_space_group_IT_number 1
_cell_length_a 12.5865
_cell_length_b 12.5865
_cell_length_c 12.5865
_cell_angle_alpha 33.58
_cell_angle_beta 33.58
_cell_angle_gamma 33.58
loop_
_space_group_symop_operation_xyz
'x,y,z'
loop_
_atom_site_label
_atom_site_fract_x
_atom_site_fract_y
_atom_site_fract_z
Pr1 0.0000 0.0000 0.0000
Pr2 0.0424 0.5470 0.5470
Pr3 0.2047 0.7119 0.7119
Pr4 0.2881 0.2881 0.7953
Pr5 0.2881 0.7953 0.2881
Pr6 0.4530 0.4530 0.9576
Pr7 0.4530 0.9576 0.4530
Pr8 0.5470 0.0424 0.5470
Pr9 0.5470 0.5470 0.0424
Pr10 0.7119 0.2047 0.7119
Pr11 0.7119 0.7119 0.2047
Pr12 0.7953 0.2881 0.2881
Pr13 0.9576 0.4530 0.4530
Tm1 0.2063 0.2063 0.2063
Tm2 0.7937 0.7937 0.7937
```